(1)
K2PbO2: calculated powder X-ray diffraction pattern (λ = 1.5418 Å (Cu Kα)), based on a GGA-PBE-relaxed structure.
No peak broadening, texture or thermal motion is included.

Top 10 peaks for 2θ from 15° to 90°, by intensity:
2θ = 18.9°, rel. 1000; 2θ = 16.9°, rel. 967; 2θ = 31.2°, rel. 948; 2θ = 28.5°, rel. 944; 2θ = 28.7°, rel. 915; 2θ = 34.6°, rel. 881; 2θ = 29.2°, rel. 817; 2θ = 33.7°, rel. 765; 2θ = 28.2°, rel. 765; 2θ = 46.7°, rel. 513

Structure:
a = 7.454 Å, b = 7.658 Å, c = 10.164 Å
α = 85.14°, β = 69.92°, γ = 61.27°
Fractional positions:
1 K 0.065 0.453 0.166
2 K 0.080 0.927 0.171
3 K 0.234 0.278 0.495
4 K 0.398 0.566 0.860
5 K 0.602 0.434 0.140
6 K 0.766 0.722 0.505
7 K 0.920 0.073 0.829
8 K 0.935 0.547 0.834
9 Pb 0.299 0.715 0.475
10 Pb 0.401 0.059 0.868
11 Pb 0.599 0.941 0.132
12 Pb 0.701 0.285 0.525
13 O 0.058 0.217 0.983
14 O 0.187 0.601 0.351
15 O 0.336 0.482 0.631
16 O 0.499 0.798 0.006
17 O 0.501 0.202 0.994
18 O 0.664 0.518 0.369
19 O 0.813 0.399 0.649
20 O 0.942 0.783 0.017

(2)
KPbO2: calculated powder X-ray diffraction pattern (λ = 1.5418 Å (Cu Kα)), based on a GGA-PBE-relaxed structure.
No peak broadening, texture or thermal motion is included.

Top 10 peaks for 2θ from 15° to 90°, by intensity:
2θ = 27.0°, rel. 1000; 2θ = 28.7°, rel. 677; 2θ = 28.7°, rel. 589; 2θ = 33.9°, rel. 582; 2θ = 30.3°, rel. 520; 2θ = 22.8°, rel. 370; 2θ = 35.2°, rel. 368; 2θ = 37.4°, rel. 345; 2θ = 44.4°, rel. 337; 2θ = 27.7°, rel. 327

Structure:
a = 7.123 Å, b = 7.623 Å, c = 13.084 Å
α = 105.45°, β = 90.94°, γ = 117.54°
Fractional positions:
1 K 0.242 0.242 0.492
2 K 0.244 0.244 0.992
3 K 0.250 0.504 0.735
4 K 0.253 0.505 0.235
5 K 0.747 0.495 0.765
6 K 0.750 0.496 0.265
7 K 0.756 0.756 0.008
8 K 0.758 0.758 0.508
9 Pb 0.238 0.000 0.747
10 Pb 0.241 0.001 0.246
11 Pb 0.270 0.759 0.967
12 Pb 0.273 0.760 0.466
13 Pb 0.727 0.240 0.534
14 Pb 0.730 0.241 0.033
15 Pb 0.759 0.999 0.754
16 Pb 0.762 0.000 0.253
17 O 0.009 0.099 0.844
18 O 0.012 0.100 0.343
19 O 0.067 0.705 0.855
20 O 0.070 0.707 0.355
21 O 0.469 0.301 0.639
22 O 0.473 0.302 0.138
23 O 0.476 0.069 0.857
24 O 0.479 0.070 0.356
25 O 0.521 0.930 0.644
26 O 0.524 0.931 0.143
27 O 0.527 0.698 0.862
28 O 0.531 0.699 0.361
29 O 0.930 0.293 0.645
30 O 0.933 0.295 0.145
31 O 0.988 0.900 0.657
32 O 0.991 0.901 0.156

(3)
K6Pb2O5: calculated powder X-ray diffraction pattern (λ = 1.5418 Å (Cu Kα)), based on a GGA-PBE-relaxed structure.
No peak broadening, texture or thermal motion is included.

Top 10 peaks for 2θ from 15° to 90°, by intensity:
2θ = 29.1°, rel. 1000; 2θ = 16.0°, rel. 787; 2θ = 17.9°, rel. 686; 2θ = 16.7°, rel. 661; 2θ = 33.4°, rel. 538; 2θ = 28.9°, rel. 535; 2θ = 33.1°, rel. 519; 2θ = 33.5°, rel. 517; 2θ = 27.8°, rel. 438; 2θ = 19.8°, rel. 268

Structure:
a = 6.517 Å, b = 7.743 Å, c = 12.659 Å
α = 79.03°, β = 84.26°, γ = 88.05°
Fractional positions:
1 K 0.067 0.393 0.135
2 K 0.088 0.866 0.126
3 K 0.183 0.050 0.378
4 K 0.192 0.515 0.378
5 K 0.280 0.701 0.626
6 K 0.421 0.410 0.883
7 K 0.579 0.590 0.117
8 K 0.720 0.299 0.374
9 K 0.808 0.485 0.622
10 K 0.817 0.950 0.622
11 K 0.912 0.134 0.874
12 K 0.933 0.607 0.865
13 Pb 0.257 0.211 0.637
14 Pb 0.412 0.869 0.854
15 Pb 0.588 0.131 0.146
16 Pb 0.743 0.789 0.363
17 O 0.018 0.242 0.526
18 O 0.118 0.384 0.743
19 O 0.148 0.948 0.744
20 O 0.246 0.676 0.978
21 O 0.419 0.307 0.242
22 O 0.581 0.693 0.758
23 O 0.754 0.324 0.022
24 O 0.852 0.052 0.256
25 O 0.882 0.616 0.257
26 O 0.982 0.758 0.474

(4)
KPbO2: calculated powder X-ray diffraction pattern (λ = 1.5418 Å (Cu Kα)), based on a GGA-PBE-relaxed structure.
No peak broadening, texture or thermal motion is included.

Top 10 peaks for 2θ from 15° to 90°, by intensity:
2θ = 28.7°, rel. 1000; 2θ = 27.8°, rel. 368; 2θ = 17.4°, rel. 362; 2θ = 33.3°, rel. 306; 2θ = 37.4°, rel. 230; 2θ = 49.7°, rel. 205; 2θ = 16.9°, rel. 165; 2θ = 59.4°, rel. 143; 2θ = 44.1°, rel. 140; 2θ = 38.0°, rel. 128

Structure:
a = 6.588 Å, b = 7.123 Å, c = 7.623 Å
α = 117.54°, β = 93.67°, γ = 104.88°
Fractional positions:
1 K 0.016 0.000 0.243
2 K 0.470 0.253 0.495
3 K 0.530 0.747 0.505
4 K 0.984 0.000 0.757
5 Pb 0.068 0.512 0.760
6 Pb 0.492 0.761 0.999
7 Pb 0.508 0.239 0.001
8 Pb 0.932 0.488 0.240
9 O 0.277 0.831 0.698
10 O 0.287 0.408 0.069
11 O 0.290 0.362 0.706
12 O 0.313 0.911 0.099
13 O 0.687 0.089 0.901
14 O 0.710 0.638 0.294
15 O 0.713 0.592 0.931
16 O 0.723 0.169 0.302

(5)
K2PbS2O8: calculated powder X-ray diffraction pattern (λ = 1.5418 Å (Cu Kα)), based on a GGA-PBE-relaxed structure.
No peak broadening, texture or thermal motion is included.

Top 10 peaks for 2θ from 15° to 90°, by intensity:
2θ = 27.9°, rel. 1000; 2θ = 32.0°, rel. 766; 2θ = 20.1°, rel. 560; 2θ = 34.5°, rel. 390; 2θ = 18.8°, rel. 355; 2θ = 43.0°, rel. 331; 2θ = 41.1°, rel. 301; 2θ = 46.7°, rel. 257; 2θ = 50.6°, rel. 250; 2θ = 54.6°, rel. 228

Structure:
a = 7.785 Å, b = 7.785 Å, c = 7.785 Å
α = 42.11°, β = 42.11°, γ = 42.11°
Fractional positions:
1 K 0.204 0.204 0.204
2 K 0.796 0.796 0.796
3 Pb 0.000 0.000 0.000
4 S 0.401 0.401 0.401
5 S 0.599 0.599 0.599
6 O 0.279 0.279 0.717
7 O 0.279 0.717 0.279
8 O 0.283 0.721 0.721
9 O 0.331 0.331 0.331
10 O 0.669 0.669 0.669
11 O 0.717 0.279 0.279
12 O 0.721 0.283 0.721
13 O 0.721 0.721 0.283

(6)
K2PbS2O8: calculated powder X-ray diffraction pattern (λ = 1.5418 Å (Cu Kα)), based on a GGA-PBE-relaxed structure.
No peak broadening, texture or thermal motion is included.

Top 10 peaks for 2θ from 15° to 90°, by intensity:
2θ = 15.4°, rel. 1000; 2θ = 25.9°, rel. 591; 2θ = 36.4°, rel. 265; 2θ = 28.8°, rel. 245; 2θ = 17.1°, rel. 206; 2θ = 30.3°, rel. 162; 2θ = 52.8°, rel. 148; 2θ = 33.1°, rel. 147; 2θ = 45.7°, rel. 134; 2θ = 50.4°, rel. 133

Structure:
a = 8.128 Å, b = 8.128 Å, c = 8.128 Å
α = 50.09°, β = 50.09°, γ = 50.09°
Fractional positions:
1 K 0.190 0.190 0.190
2 K 0.810 0.810 0.810
3 Pb 0.500 0.500 0.500
4 S 0.373 0.373 0.373
5 S 0.627 0.627 0.627
6 O 0.283 0.283 0.637
7 O 0.283 0.637 0.283
8 O 0.305 0.305 0.305
9 O 0.363 0.717 0.717
10 O 0.637 0.283 0.283
11 O 0.695 0.695 0.695
12 O 0.717 0.363 0.717
13 O 0.717 0.717 0.363

(7)
K2Si2Pb2O: calculated powder X-ray diffraction pattern (λ = 1.5418 Å (Cu Kα)), based on a GGA-PBE-relaxed structure.
No peak broadening, texture or thermal motion is included.

Top 10 peaks for 2θ from 15° to 90°, by intensity:
2θ = 32.3°, rel. 1000; 2θ = 42.3°, rel. 610; 2θ = 35.0°, rel. 510; 2θ = 32.5°, rel. 498; 2θ = 22.8°, rel. 443; 2θ = 26.5°, rel. 349; 2θ = 18.5°, rel. 327; 2θ = 64.9°, rel. 257; 2θ = 57.7°, rel. 195; 2θ = 57.6°, rel. 188

Structure:
a = 5.545 Å, b = 5.545 Å, c = 6.723 Å
α = 90.00°, β = 90.00°, γ = 120.00°
Fractional positions:
1 K 0.333 0.667 0.000
2 K 0.667 0.333 0.000
3 Si 0.000 0.000 0.267
4 Si 0.000 0.000 0.733
5 Pb 0.333 0.667 0.500
6 Pb 0.667 0.333 0.500
7 O 0.000 0.000 0.000